Structure and simulated X-ray powder pattern of Ti5Bi2 (a structure optimized by DFT (PBE); Cu Kα).
No peak broadening, texture or thermal motion is included.

Atomic structure:
Unit cell a=5.3016 b=5.3016 c=7.2844 alpha=96.06 beta=96.06 gamma=41.35
Fractional coordinates of all 7 atoms:
Ti  0.0000  0.0000  0.0000
Ti  0.1412  0.1412  0.4237
Ti  0.3017  0.3017  0.8670
Ti  0.6983  0.6983  0.1330
Ti  0.8588  0.8588  0.5763
Bi  0.4149  0.4149  0.2744
Bi  0.5851  0.5851  0.7256

Peak list (6 most intense, 5° ≤ 2θ ≤ 70°, by intensity)
two_theta, Rel. int.
36.4, 100
37.5, 87
25.5, 43
39.7, 38
20.6, 37
40.0, 32